The following is a theoretical PXRD pattern of PmErIr2. It was derived from a DFT-relaxed cell (GGA-PBE, Alexandria), using a wavelength of 1.5418 Å.
Neutral-atom scattering factors, no anomalous dispersion.

Top 6 peaks for 10° ≤ 2θ ≤ 90°, by angle:
2θ/deg  I (rel.)
25.74  1
36.72  100
52.90  18
66.12  36
78.09  11
89.54  17

Structure:
```
4
Lattice="0.0000 3.4615 3.4615 3.4615 0.0000 3.4615 3.4615 3.4615 0.0000" Properties=species:S:1:pos:R:3 pbc="T T T"
Pm 0.0000 0.0000 0.0000
Er 3.4615 3.4615 3.4615
Ir 1.7307 1.7307 1.7307
Ir 5.1922 5.1922 5.1922
```

=====

The following is a theoretical PXRD pattern of LaPr5Y2Er. It was derived from a DFT-relaxed cell (GGA-PBE, Alexandria), using a wavelength of 1.5418 Å.
Neutral-atom scattering factors, no anomalous dispersion.

Top 10 peaks for 10° ≤ 2θ ≤ 90°, by angle:
2θ/deg  I (rel.)
26.33  63
28.17  39
29.51  13
31.48  100
32.17  10
34.37  15
39.33  18
43.46  12
49.82  21
59.03  20

Structure:
```
18
Lattice="-4.7862 4.7862 7.0625 4.7862 -4.7862 7.0625 4.7862 4.7862 -7.0625" Properties=species:S:1:pos:R:3 pbc="T T T"
La 0.0000 0.0000 3.5313
La 0.0000 0.0000 10.5938
Pr 0.0000 0.0000 0.0000
Pr 6.7216 1.9354 -1.8774
Pr 1.9354 2.8508 -1.8774
Pr 6.7216 1.9354 1.8774
Pr 1.9354 2.8508 1.8774
Pr 0.0000 0.0000 7.0625
Pr 2.8508 1.9354 5.1851
Pr -1.9354 2.8508 5.1851
Pr 2.8508 1.9354 8.9400
Pr -1.9354 2.8508 8.9400
Y 3.7509 1.0353 0.0000
Y 3.7509 -1.0353 7.0625
Y 1.0353 5.8215 0.0000
Y 1.0353 3.7509 7.0625
Er 4.7862 0.0000 3.5313
Er 0.0000 4.7862 3.5313
```

=====

The following is a theoretical PXRD pattern of InAg. It was derived from a DFT-relaxed cell (GGA-PBE, Alexandria), using a wavelength of 1.5418 Å.
Neutral-atom scattering factors, no anomalous dispersion.

Top 10 peaks for 10° ≤ 2θ ≤ 90°, by angle:
2θ/deg  I (rel.)
33.70  71
35.01  19
36.08  100
36.19  24
36.33  64
36.51  68
39.65  22
39.81  23
64.02  25
65.75  21

Structure:
```
24
Lattice="10.2508 0.0000 0.0000 0.0000 8.4701 0.0000 0.0000 0.0000 6.0475" Properties=species:S:1:pos:R:3 pbc="T T T"
In 1.3888 2.1175 0.0000
In 1.3888 2.1175 3.0237
In 1.8658 5.6697 1.5119
In 1.8658 7.0355 4.5356
In 3.6492 0.3706 1.5119
In 3.6492 3.8645 4.5356
In 6.6015 4.6056 1.5119
In 6.6015 8.0996 4.5356
In 8.3850 1.4346 1.5119
In 8.3850 2.8005 4.5356
In 8.8620 6.3526 0.0000
In 8.8620 6.3526 3.0237
Ag 0.4836 4.5062 4.5356
Ag 0.4836 8.1991 1.5119
Ag 3.7986 0.6341 4.5356
Ag 3.7986 3.6009 1.5119
Ag 4.4605 6.3526 0.0000
Ag 4.4605 6.3526 3.0237
Ag 5.7903 2.1175 0.0000
Ag 5.7903 2.1175 3.0237
Ag 6.4522 4.8692 4.5356
Ag 6.4522 7.8360 1.5119
Ag 9.7672 0.2711 4.5356
Ag 9.7672 3.9640 1.5119
```

=====

The following is a theoretical PXRD pattern of Cr2CuPt. It was derived from a DFT-relaxed cell (GGA-PBE, Alexandria), using a wavelength of 1.5418 Å.
Neutral-atom scattering factors, no anomalous dispersion.

Top 10 peaks for 10° ≤ 2θ ≤ 90°, by angle:
2θ/deg  I (rel.)
17.47  36
22.94  40
28.98  38
41.90  100
42.57  93
46.86  36
50.30  61
71.18  38
88.29  22
89.62  20

Structure:
```
4
Lattice="2.5939 0.0000 0.0000 0.0000 3.8774 0.0000 0.0000 0.0000 5.0773" Properties=species:S:1:pos:R:3 pbc="T T T"
Cr 0.0000 0.0000 1.1429
Cr 0.0000 0.0000 3.9345
Cu 1.2970 1.9387 0.0000
Pt 1.2970 1.9387 2.5387
```

=====

The following is a theoretical PXRD pattern of MgH4Ir. It was derived from a DFT-relaxed cell (GGA-PBE, Alexandria), using a wavelength of 1.5418 Å.
Neutral-atom scattering factors, no anomalous dispersion.

Top 10 peaks for 10° ≤ 2θ ≤ 90°, by angle:
2θ/deg  I (rel.)
21.41  100
22.18  34
32.84  13
33.05  12
36.65  32
38.45  22
42.26  11
43.08  11
43.61  20
45.24  14

Structure:
```
6
Lattice="2.8782 0.0000 0.0000 -0.0032 4.6887 0.0000 -1.3964 -2.1725 4.1475" Properties=species:S:1:pos:R:3 pbc="T T T"
Mg 0.0000 0.0000 0.0000
H -0.0027 1.8772 1.0286
H 0.0413 -1.1218 3.0615
H 1.4373 3.6380 1.0861
H 1.4813 0.6390 3.1189
Ir 1.4375 2.3444 0.0000
```

=====

Please write out number 3 again, unchanged.
The following is a theoretical PXRD pattern of InAg. It was derived from a DFT-relaxed cell (GGA-PBE, Alexandria), using a wavelength of 1.5418 Å.
Neutral-atom scattering factors, no anomalous dispersion.

Top 10 peaks for 10° ≤ 2θ ≤ 90°, by angle:
2θ/deg  I (rel.)
33.70  71
35.01  19
36.08  100
36.19  24
36.33  64
36.51  68
39.65  22
39.81  23
64.02  25
65.75  21

Structure:
```
24
Lattice="10.2508 0.0000 0.0000 0.0000 8.4701 0.0000 0.0000 0.0000 6.0475" Properties=species:S:1:pos:R:3 pbc="T T T"
In 1.3888 2.1175 0.0000
In 1.3888 2.1175 3.0237
In 1.8658 5.6697 1.5119
In 1.8658 7.0355 4.5356
In 3.6492 0.3706 1.5119
In 3.6492 3.8645 4.5356
In 6.6015 4.6056 1.5119
In 6.6015 8.0996 4.5356
In 8.3850 1.4346 1.5119
In 8.3850 2.8005 4.5356
In 8.8620 6.3526 0.0000
In 8.8620 6.3526 3.0237
Ag 0.4836 4.5062 4.5356
Ag 0.4836 8.1991 1.5119
Ag 3.7986 0.6341 4.5356
Ag 3.7986 3.6009 1.5119
Ag 4.4605 6.3526 0.0000
Ag 4.4605 6.3526 3.0237
Ag 5.7903 2.1175 0.0000
Ag 5.7903 2.1175 3.0237
Ag 6.4522 4.8692 4.5356
Ag 6.4522 7.8360 1.5119
Ag 9.7672 0.2711 4.5356
Ag 9.7672 3.9640 1.5119
```